Diffraction record for TaAgBr2. The PXRD pattern is simulated, not measured: it uses a crystal structure in Alexandria, relaxed with GGA-PBE and Cu Kα (weighted mean of Kα1 and Kα2).
Intensities are scaled so that the largest is 1000.

Top 12 peaks for 10 to 90 degrees two-theta, most intense first:
d 7.366, 12.0 deg, rel. 1000; d 2.152, 42.0 deg, rel. 576; d 2.495, 36.0 deg, rel. 520; d 4.750, 18.7 deg, rel. 336; d 2.509, 35.8 deg, rel. 248; d 2.455, 36.6 deg, rel. 184; d 1.369, 68.5 deg, rel. 132; d 1.755, 52.1 deg, rel. 131; d 2.635, 34.0 deg, rel. 129; d 2.375, 37.9 deg, rel. 128; d 1.288, 73.5 deg, rel. 114; d 1.446, 64.4 deg, rel. 93

Structure:
abc: 7.9370 7.9370 7.9370
angles: 157.31 143.14 43.72
Atoms (fractional coordinates):
Ta 0.0000 0.0000 0.0000
Ag 0.5000 0.5000 0.0000
Br 0.1452 0.6452 0.5000
Br 0.8548 0.3548 0.5000


Diffraction record for TcAg2Br5. The PXRD pattern is simulated, not measured: it uses a crystal structure in Alexandria, relaxed with GGA-PBE and Cu Kα (weighted mean of Kα1 and Kα2).
Intensities are scaled so that the largest is 1000.

Top 12 peaks for 10 to 90 degrees two-theta, most intense first:
d 5.363, 16.5 deg, rel. 1000; d 3.425, 26.0 deg, rel. 653; d 6.253, 14.2 deg, rel. 516; d 3.342, 26.7 deg, rel. 484; d 2.712, 33.0 deg, rel. 445; d 2.158, 41.9 deg, rel. 375; d 2.084, 43.4 deg, rel. 367; d 2.664, 33.6 deg, rel. 358; d 1.852, 49.2 deg, rel. 349; d 2.673, 33.5 deg, rel. 295; d 2.226, 40.5 deg, rel. 279; d 2.701, 33.2 deg, rel. 269

Structure:
abc: 7.0529 7.0529 6.6853
angles: 117.54 117.54 78.26
Atoms (fractional coordinates):
Tc 0.0000 0.0000 0.0000
Ag 0.3750 0.9517 0.7790
Ag 0.9517 0.3750 0.7790
Br 0.0080 0.0080 0.4216
Br 0.2735 0.7083 0.9593
Br 0.2810 0.2810 0.1991
Br 0.7083 0.2735 0.9593
Br 0.7094 0.7094 0.6808


Diffraction record for Ag9Te4Br3. The PXRD pattern is simulated, not measured: it uses a crystal structure in Alexandria, relaxed with GGA-PBE and Cu Kα (weighted mean of Kα1 and Kα2).
Intensities are scaled so that the largest is 1000.

Top 12 peaks for 10 to 90 degrees two-theta, most intense first:
d 2.245, 40.2 deg, rel. 1000; d 3.477, 25.6 deg, rel. 970; d 2.287, 39.4 deg, rel. 858; d 2.156, 41.9 deg, rel. 839; d 3.363, 26.5 deg, rel. 785; d 3.534, 25.2 deg, rel. 705; d 2.580, 34.8 deg, rel. 694; d 2.164, 41.7 deg, rel. 609; d 3.937, 22.6 deg, rel. 581; d 2.202, 41.0 deg, rel. 561; d 3.441, 25.9 deg, rel. 531; d 2.170, 41.6 deg, rel. 508

Structure:
abc: 7.7964 7.8809 8.1061
angles: 91.49 90.83 118.20
Atoms (fractional coordinates):
Ag 0.0000 0.0000 0.0000
Ag 0.0041 0.0814 0.3643
Ag 0.2608 0.3794 0.8613
Ag 0.3359 0.0272 0.1943
Ag 0.3908 0.9002 0.6771
Ag 0.6432 0.6514 0.0051
Ag 0.6503 0.7077 0.3795
Ag 0.7538 0.2735 0.7295
Ag 0.9485 0.3432 0.0943
Te 0.3201 0.3816 0.1986
Te 0.6140 0.0051 0.9732
Te 0.6340 0.0554 0.4146
Te 0.9638 0.6921 0.2050
Br 0.1126 0.0231 0.6774
Br 0.1180 0.5261 0.6351
Br 0.6129 0.5277 0.6780


Diffraction record for AgTe2Br. The PXRD pattern is simulated, not measured: it uses a crystal structure in Alexandria, relaxed with GGA-PBE and Cu Kα (weighted mean of Kα1 and Kα2).
Intensities are scaled so that the largest is 1000.

Top 12 peaks for 10 to 90 degrees two-theta, most intense first:
d 4.181, 21.2 deg, rel. 1000; d 6.125, 14.5 deg, rel. 662; d 3.144, 28.4 deg, rel. 527; d 3.670, 24.3 deg, rel. 362; d 2.278, 39.6 deg, rel. 331; d 2.098, 43.1 deg, rel. 281; d 2.301, 39.1 deg, rel. 262; d 2.716, 33.0 deg, rel. 248; d 2.192, 41.2 deg, rel. 189; d 1.943, 46.8 deg, rel. 186; d 1.849, 49.3 deg, rel. 169; d 1.338, 70.4 deg, rel. 164

Structure:
abc: 7.7718 7.7718 5.7217
angles: 90.00 90.00 104.03
Atoms (fractional coordinates):
Ag 0.1783 0.1783 0.0000
Ag 0.8217 0.8217 0.5000
Te 0.2762 0.4594 0.3253
Te 0.4594 0.2762 0.6747
Te 0.5406 0.7238 0.1747
Te 0.7238 0.5406 0.8253
Br 0.1281 0.8719 0.7500
Br 0.8719 0.1281 0.2500


Diffraction record for Ag5Te2Br. The PXRD pattern is simulated, not measured: it uses a crystal structure in Alexandria, relaxed with GGA-PBE and Cu Kα (weighted mean of Kα1 and Kα2).
Intensities are scaled so that the largest is 1000.

Top 12 peaks for 10 to 90 degrees two-theta, most intense first:
d 2.320, 38.8 deg, rel. 1000; d 2.329, 38.7 deg, rel. 753; d 2.983, 29.9 deg, rel. 736; d 2.040, 44.4 deg, rel. 714; d 4.858, 18.3 deg, rel. 687; d 6.985, 12.7 deg, rel. 685; d 2.598, 34.5 deg, rel. 658; d 2.689, 33.3 deg, rel. 577; d 3.887, 22.9 deg, rel. 567; d 2.422, 37.1 deg, rel. 529; d 2.165, 41.7 deg, rel. 510; d 3.867, 23.0 deg, rel. 482

Structure:
abc: 4.8584 13.9708 6.4349
angles: 90.00 90.30 90.00
Atoms (fractional coordinates):
Ag 0.0046 0.2500 0.0339
Ag 0.0776 0.0803 0.6248
Ag 0.0776 0.4197 0.6248
Ag 0.2446 0.0474 0.0667
Ag 0.2446 0.4526 0.0667
Ag 0.7554 0.5474 0.9333
Ag 0.7554 0.9526 0.9333
Ag 0.9224 0.5803 0.3752
Ag 0.9224 0.9197 0.3752
Ag 0.9954 0.7500 0.9661
Te 0.2612 0.6047 0.7400
Te 0.2612 0.8953 0.7400
Te 0.7388 0.1047 0.2600
Te 0.7388 0.3953 0.2600
Br 0.3340 0.2500 0.7046
Br 0.6660 0.7500 0.2954


Diffraction record for AgTe6Br2. The PXRD pattern is simulated, not measured: it uses a crystal structure in Alexandria, relaxed with GGA-PBE and Cu Kα (weighted mean of Kα1 and Kα2).
Intensities are scaled so that the largest is 1000.

Top 12 peaks for 10 to 90 degrees two-theta, most intense first:
d 3.057, 29.2 deg, rel. 1000; d 3.007, 29.7 deg, rel. 851; d 3.113, 28.7 deg, rel. 795; d 8.153, 10.9 deg, rel. 613; d 2.262, 39.9 deg, rel. 429; d 4.509, 19.7 deg, rel. 387; d 2.246, 40.1 deg, rel. 368; d 1.770, 51.6 deg, rel. 318; d 2.018, 44.9 deg, rel. 302; d 3.614, 24.6 deg, rel. 283; d 2.296, 39.2 deg, rel. 270; d 2.109, 42.9 deg, rel. 244

Structure:
abc: 4.5260 8.6420 9.2526
angles: 114.95 101.67 91.52
Atoms (fractional coordinates):
Ag 0.0000 0.0000 0.0000
Te 0.1960 0.5340 0.2151
Te 0.3492 0.2017 0.7150
Te 0.4799 0.2367 0.0487
Te 0.5201 0.7633 0.9513
Te 0.6508 0.7983 0.2850
Te 0.8040 0.4660 0.7849
Br 0.0783 0.1378 0.3669
Br 0.9217 0.8622 0.6331


Diffraction record for AgTeBr3. The PXRD pattern is simulated, not measured: it uses a crystal structure in Alexandria, relaxed with GGA-PBE and Cu Kα (weighted mean of Kα1 and Kα2).
Intensities are scaled so that the largest is 1000.

Top 12 peaks for 10 to 90 degrees two-theta, most intense first:
d 7.960, 11.1 deg, rel. 1000; d 3.063, 29.2 deg, rel. 835; d 2.574, 34.9 deg, rel. 533; d 2.314, 38.9 deg, rel. 480; d 3.883, 22.9 deg, rel. 451; d 3.019, 29.6 deg, rel. 354; d 2.982, 30.0 deg, rel. 274; d 2.265, 39.8 deg, rel. 236; d 2.101, 43.0 deg, rel. 234; d 3.816, 23.3 deg, rel. 222; d 2.174, 41.5 deg, rel. 184; d 1.990, 45.6 deg, rel. 182

Structure:
abc: 4.3476 9.1458 9.6263
angles: 63.71 89.90 89.85
Atoms (fractional coordinates):
Ag 0.0000 0.0000 0.0000
Ag 0.4982 0.1511 0.1232
Te 0.0094 0.6265 0.4256
Te 0.5090 0.5251 0.6975
Br 0.0312 0.3366 0.4536
Br 0.1885 0.4392 0.9698
Br 0.4796 0.1444 0.8183
Br 0.5291 0.8150 0.6696
Br 0.6896 0.7127 0.1532
Br 0.9783 0.0071 0.3049


Diffraction record for Ag6TeBr12. The PXRD pattern is simulated, not measured: it uses a crystal structure in Alexandria, relaxed with GGA-PBE and Cu Kα (weighted mean of Kα1 and Kα2).
Intensities are scaled so that the largest is 1000.

Top 12 peaks for 10 to 90 degrees two-theta, most intense first:
d 2.870, 31.2 deg, rel. 1000; d 6.013, 14.7 deg, rel. 818; d 3.645, 24.4 deg, rel. 378; d 2.149, 42.0 deg, rel. 335; d 1.929, 47.1 deg, rel. 223; d 2.023, 44.8 deg, rel. 193; d 2.119, 42.7 deg, rel. 182; d 4.100, 21.7 deg, rel. 164; d 2.614, 34.3 deg, rel. 133; d 2.217, 40.7 deg, rel. 116; d 1.720, 53.3 deg, rel. 113; d 6.651, 13.3 deg, rel. 111

Structure:
abc: 8.9022 8.9022 8.9022
angles: 79.38 79.38 79.38
Atoms (fractional coordinates):
Ag 0.1015 0.8067 0.6150
Ag 0.1933 0.3850 0.8985
Ag 0.3850 0.8985 0.1933
Ag 0.6150 0.1015 0.8067
Ag 0.8067 0.6150 0.1015
Ag 0.8985 0.1933 0.3850
Te 0.5000 0.5000 0.5000
Br 0.0757 0.6824 0.9124
Br 0.0876 0.9243 0.3176
Br 0.1893 0.4827 0.5580
Br 0.3176 0.0876 0.9243
Br 0.4420 0.8107 0.5173
Br 0.4827 0.5580 0.1893
Br 0.5173 0.4420 0.8107
Br 0.5580 0.1893 0.4827
Br 0.6824 0.9124 0.0757
Br 0.8107 0.5173 0.4420
Br 0.9124 0.0757 0.6824
Br 0.9243 0.3176 0.0876


Diffraction record for AgTeBr. The PXRD pattern is simulated, not measured: it uses a crystal structure in Alexandria, relaxed with GGA-PBE and Cu Kα (weighted mean of Kα1 and Kα2).
Intensities are scaled so that the largest is 1000.

Top 12 peaks for 10 to 90 degrees two-theta, most intense first:
d 2.671, 33.6 deg, rel. 1000; d 3.224, 27.7 deg, rel. 496; d 1.734, 52.8 deg, rel. 267; d 6.869, 12.9 deg, rel. 199; d 2.108, 42.9 deg, rel. 194; d 1.644, 55.9 deg, rel. 133; d 1.911, 47.6 deg, rel. 109; d 1.867, 48.8 deg, rel. 97; d 2.290, 39.4 deg, rel. 92; d 1.168, 82.6 deg, rel. 80; d 1.206, 79.5 deg, rel. 79; d 1.181, 81.5 deg, rel. 74

Structure:
abc: 7.5882 7.1300 3.7483
angles: 82.14 68.56 29.30
Atoms (fractional coordinates):
Ag 0.0000 0.0000 0.0000
Te 0.6447 0.6447 0.3553
Br 0.3670 0.3670 0.6330


Diffraction record for ThAgBr. The PXRD pattern is simulated, not measured: it uses a crystal structure in Alexandria, relaxed with GGA-PBE and Cu Kα (weighted mean of Kα1 and Kα2).
Intensities are scaled so that the largest is 1000.

Top 12 peaks for 10 to 90 degrees two-theta, most intense first:
d 2.713, 33.0 deg, rel. 1000; d 2.464, 36.5 deg, rel. 998; d 3.183, 28.0 deg, rel. 546; d 3.118, 28.6 deg, rel. 478; d 1.837, 49.6 deg, rel. 444; d 5.191, 17.1 deg, rel. 311; d 1.399, 66.9 deg, rel. 258; d 1.500, 61.9 deg, rel. 238; d 1.824, 50.0 deg, rel. 232; d 1.521, 60.9 deg, rel. 228; d 2.596, 34.6 deg, rel. 217; d 2.946, 30.3 deg, rel. 205

Structure:
abc: 15.5742 3.6750 3.6750
angles: 59.99 90.00 90.00
Atoms (fractional coordinates):
Th 0.1518 0.0000 0.0000
Th 0.8482 0.0000 0.0000
Ag 0.0000 0.6664 0.6664
Ag 0.5000 0.6830 0.6830
Br 0.2917 0.6668 0.6668
Br 0.7083 0.6668 0.6668


Diffraction record for ThAg2Br8. The PXRD pattern is simulated, not measured: it uses a crystal structure in Alexandria, relaxed with GGA-PBE and Cu Kα (weighted mean of Kα1 and Kα2).
Intensities are scaled so that the largest is 1000.

Top 12 peaks for 10 to 90 degrees two-theta, most intense first:
d 7.991, 11.1 deg, rel. 1000; d 6.128, 14.5 deg, rel. 849; d 3.974, 22.4 deg, rel. 406; d 3.002, 29.8 deg, rel. 406; d 2.623, 34.2 deg, rel. 405; d 3.486, 25.6 deg, rel. 366; d 2.595, 34.6 deg, rel. 226; d 2.672, 33.5 deg, rel. 217; d 3.064, 29.1 deg, rel. 177; d 2.289, 39.4 deg, rel. 174; d 1.810, 50.4 deg, rel. 170; d 2.043, 44.3 deg, rel. 169

Structure:
abc: 8.3890 8.3890 7.0941
angles: 105.54 105.54 93.85
Atoms (fractional coordinates):
Th 0.0000 0.0000 0.0000
Ag 0.1480 0.1480 0.6290
Ag 0.8520 0.8520 0.3710
Br 0.0825 0.7436 0.1892
Br 0.2436 0.2436 0.3434
Br 0.2564 0.9175 0.8108
Br 0.4314 0.4314 0.8246
Br 0.5686 0.5686 0.1754
Br 0.7436 0.0825 0.1892
Br 0.7564 0.7564 0.6566
Br 0.9175 0.2564 0.8108


Diffraction record for TiAgBr5. The PXRD pattern is simulated, not measured: it uses a crystal structure in Alexandria, relaxed with GGA-PBE and Cu Kα (weighted mean of Kα1 and Kα2).
Intensities are scaled so that the largest is 1000.

Top 12 peaks for 10 to 90 degrees two-theta, most intense first:
d 3.533, 25.2 deg, rel. 1000; d 5.546, 16.0 deg, rel. 614; d 4.451, 19.9 deg, rel. 471; d 3.270, 27.3 deg, rel. 406; d 2.098, 43.1 deg, rel. 294; d 2.639, 34.0 deg, rel. 271; d 4.972, 17.8 deg, rel. 235; d 4.903, 18.1 deg, rel. 172; d 2.752, 32.5 deg, rel. 152; d 1.993, 45.5 deg, rel. 151; d 2.084, 43.4 deg, rel. 139; d 3.199, 27.9 deg, rel. 121

Structure:
abc: 6.2637 10.0385 11.4496
angles: 113.59 102.32 97.90
Atoms (fractional coordinates):
Ti 0.1050 0.3548 0.2100
Ti 0.8950 0.6452 0.7900
Ag 0.0000 0.0000 0.5000
Ag 0.5000 0.0000 0.5000
Br 0.0075 0.5693 0.3441
Br 0.2204 0.8364 0.9253
Br 0.2965 0.4112 0.0753
Br 0.3361 0.2747 0.3448
Br 0.3472 0.0973 0.6944
Br 0.6528 0.9027 0.3056
Br 0.6639 0.7253 0.6552
Br 0.7035 0.5888 0.9247
Br 0.7796 0.1636 0.0747
Br 0.9925 0.4307 0.6559


What did the seventh record say?
Diffraction record for AgTeBr3. The PXRD pattern is simulated, not measured: it uses a crystal structure in Alexandria, relaxed with GGA-PBE and Cu Kα (weighted mean of Kα1 and Kα2).
Intensities are scaled so that the largest is 1000.

Top 12 peaks for 10 to 90 degrees two-theta, most intense first:
d 7.960, 11.1 deg, rel. 1000; d 3.063, 29.2 deg, rel. 835; d 2.574, 34.9 deg, rel. 533; d 2.314, 38.9 deg, rel. 480; d 3.883, 22.9 deg, rel. 451; d 3.019, 29.6 deg, rel. 354; d 2.982, 30.0 deg, rel. 274; d 2.265, 39.8 deg, rel. 236; d 2.101, 43.0 deg, rel. 234; d 3.816, 23.3 deg, rel. 222; d 2.174, 41.5 deg, rel. 184; d 1.990, 45.6 deg, rel. 182

Structure:
abc: 4.3476 9.1458 9.6263
angles: 63.71 89.90 89.85
Atoms (fractional coordinates):
Ag 0.0000 0.0000 0.0000
Ag 0.4982 0.1511 0.1232
Te 0.0094 0.6265 0.4256
Te 0.5090 0.5251 0.6975
Br 0.0312 0.3366 0.4536
Br 0.1885 0.4392 0.9698
Br 0.4796 0.1444 0.8183
Br 0.5291 0.8150 0.6696
Br 0.6896 0.7127 0.1532
Br 0.9783 0.0071 0.3049